No. 1
Diffraction record for Li4AuO3. The X-ray powder pattern is simulated, not measured: it uses a PBE-relaxed structure and copper Kα.
No peak broadening, texture or thermal motion is included.

Peak list (12 most intense, 2θ from 10° to 80°, low angle first)
hkl  2θ (°)  I/Imax
2 0 0  17.80  62.5
1 1 0  19.84  100.0
0 0 2  26.72  32.3
2 0 -2  27.87  38.7
1 1 -2  31.44  43.3
3 1 0  32.34  21.9
1 1 2  35.46  17.2
0 2 0  35.86  15.1
4 0 0  36.04  17.1
3 1 -2  37.24  18.3
2 2 -2  46.02  14.1
5 1 0  49.19  14.7

Crystal structure
Unit cell a=10.352 b=5.008 c=6.931 alpha=90.00 beta=105.67 gamma=90.00
Space group Cc (No. 9)
Asymmetric unit:
Li: 0.000 0.138 0.000 x4
Li: 0.109 0.359 0.700 x4
Li: 0.170 0.199 0.398 x4
Li: 0.255 0.357 0.061 x4
Au: 0.365 0.051 0.801 x4
O: 0.065 0.493 0.934 x4
O: 0.165 0.009 0.654 x4
O: 0.330 0.489 0.333 x4


No. 2
Diffraction record for Li5AuO4. The X-ray powder pattern is simulated, not measured: it uses a PBE-relaxed structure and copper Kα.
No peak broadening, texture or thermal motion is included.

Peak list (12 most intense, 2θ from 10° to 80°, low angle first)
hkl  2θ (°)  I/Imax
0 0 4  18.49  40.4
1 1 1  19.62  100.0
1 1 3  23.63  65.4
0 2 2  25.61  84.4
1 1 5  30.17  35.8
2 0 2  31.44  21.3
1 1 7  38.08  19.2
1 3 1  39.54  17.9
2 0 6  41.41  31.3
2 2 4  43.19  30.1
2 2 8  54.95  25.1
2 4 6  65.89  14.7

Crystal structure
Unit cell a=5.959 b=7.463 c=19.196 alpha=90.00 beta=90.00 gamma=90.00
Space group Fddd (No. 70, origin choice 2)
Asymmetric unit:
Li: 0.125 0.125 0.125 x8
Li: 0.125 0.125 0.266 x16
Li: 0.125 0.125 0.479 x16
Au: 0.125 0.125 0.625 x8
O: 0.122 0.373 0.949 x32


No. 3
Diffraction record for LiPbAuO2. The X-ray powder pattern is simulated, not measured: it uses a PBE-relaxed structure and copper Kα.
No peak broadening, texture or thermal motion is included.

Peak list (12 most intense, 2θ from 10° to 80°, low angle first)
hkl  2θ (°)  I/Imax
0 1 1  24.07  54.6
1 1 0  24.83  100.0
1 1 -1  26.96  32.7
1 0 -2  30.92  72.9
1 1 1  31.32  40.2
2 0 0  32.97  50.8
0 1 2  36.02  37.5
1 0 2  38.40  36.7
1 2 0  41.33  50.5
2 1 -2  43.77  28.1
0 2 2  49.29  27.8
3 0 2  67.18  22.4

Crystal structure
Unit cell a=5.610 b=4.771 c=6.039 alpha=90.00 beta=104.37 gamma=90.00
Space group P2/c (No. 13)
Asymmetric unit:
Li: 0.000 0.022 0.250 x2
Pb: 0.500 0.194 0.750 x2
Au: 0.000 0.500 0.000 x2
O: 0.232 0.150 0.029 x4


No. 4
Diffraction record for Li4Pu3AuO12. The X-ray powder pattern is simulated, not measured: it uses a PBE-relaxed structure and copper Kα.
No peak broadening, texture or thermal motion is included.

Peak list (12 most intense, 2θ from 10° to 80°, low angle first)
hkl  2θ (°)  I/Imax
1 1 0  15.60  42.3
0 2 1  21.31  100.0
2 1 1  26.52  19.0
2 0 2  29.10  51.9
2 2 0  31.49  19.8
1 3 1  34.80  19.0
3 1 2  40.25  27.1
2 2 3  47.22  15.3
0 2 4  50.03  11.1
5 2 0  58.58  10.1
3 3 3  60.33  10.5
2 5 3  69.65  11.9

Crystal structure
Unit cell a=11.3622 b=11.3622 c=7.8513 alpha=90.00 beta=90.00 gamma=120.00
Space group R32 (No. 155, hexagonal axes)
Asymmetric unit:
Li: 0.0000 0.0000 0.0000 x3
Li: 0.0000 0.4394 0.0000 x9
Pu: 0.0000 0.5586 0.5000 x9
Au: 0.0000 0.0000 0.5000 x3
O: 0.0000 0.6092 0.0000 x9
O: 0.0000 0.8346 0.0000 x9
O: 0.0662 0.2373 0.6874 x18